No. 1
LuCr2Fe10: simulated XRD peak list (Cu Ka), based on a structure optimized by DFT (GGA-PBE).
Neutral-atom scattering factors, no anomalous dispersion.

a b c (Å): 4.659 8.285 8.384
angles (deg): 90.00 90.00 90.00
Space group Immm (No. 71)
Unique sites:
Lu  0.000  0.000  0.000 (multiplicity 2)
Cr  0.000  0.000  0.368 (multiplicity 4)
Fe  0.000  0.280  0.500 (multiplicity 4)
Fe  0.000  0.357  0.000 (multiplicity 4)
Fe  0.000  0.500  0.272 (multiplicity 4)
Fe  0.250  0.250  0.250 (multiplicity 8)

Peak list (10 most intense, 2θ from 10° to 80°, by intensity)
d/Å, I_rel
2.073, 1000
2.067, 801
2.036, 523
2.030, 471
2.096, 430
2.917, 357
2.376, 338
2.904, 302
2.396, 296
1.827, 261



No. 2
MgCrFe2: simulated XRD peak list (Cu Ka), based on a structure optimized by DFT (GGA-PBE).
Neutral-atom scattering factors, no anomalous dispersion.

a b c (Å): 3.012 4.124 8.357
angles (deg): 90.00 90.00 90.00
Space group Cmm2 (No. 35)
Unique sites:
Mg  0.000  0.000  0.000 (multiplicity 2)
Cr  0.000  0.500  0.276 (multiplicity 2)
Fe  0.000  0.000  0.504 (multiplicity 2)
Fe  0.000  0.500  0.733 (multiplicity 2)

Peak list (10 most intense, 2θ from 10° to 80°, by intensity)
d/Å, I_rel
2.102, 1000
8.357, 522
2.062, 245
2.089, 215
1.468, 125
1.832, 103
1.209, 99
1.506, 82
1.216, 75
1.222, 64



No. 3
Mg14CrFe: simulated XRD peak list (Cu Ka), based on a structure optimized by DFT (GGA-PBE).
Neutral-atom scattering factors, no anomalous dispersion.

a b c (Å): 6.2415 6.2415 9.9881
angles (deg): 90.00 90.00 120.00
Space group P-6m2 (No. 187)
Unique sites:
Mg  0.0000  0.0000  0.2486 (multiplicity 2)
Mg  0.0119  0.5059  0.2555 (multiplicity 6)
Mg  0.3316  0.1658  0.5000 (multiplicity 3)
Mg  0.3361  0.1680  0.0000 (multiplicity 3)
Cr  0.3333  0.6667  0.0000 (multiplicity 1)
Fe  0.3333  0.6667  0.5000 (multiplicity 1)

Peak list (10 most intense, 2θ from 10° to 80°, by intensity)
d/Å, I_rel
2.377, 1000
2.497, 256
2.703, 254
1.323, 181
1.417, 175
1.560, 166
1.834, 152
1.304, 130
5.405, 118
3.668, 61